Simulated powder diffractogram of KGd2CuMo4O16 for λ = 1.5418 Å (Cu Kα), from a DFT-relaxed cell (PBE+U, Alexandria).
Kinematic intensities with the Lorentz-polarization factor, no thermal factor.

Peak list (6 most intense, 10 to 90 degrees two-theta, in order of rising 2θ)
- 2θ 26.42, 3.374 Å, intensity 30
- 2θ 27.29, 3.268 Å, intensity 27
- 2θ 27.75, 3.215 Å, intensity 100
- 2θ 28.62, 3.119 Å, intensity 29
- 2θ 29.95, 2.984 Å, intensity 44
- 2θ 33.59, 2.668 Å, intensity 30

```
KGd2CuMo4O16
1.0
2.6767 -6.4290 0.0000
2.6767 6.4290 0.0000
-1.6360 0.0000 19.8584
K Gd Cu Mo O
2 4 2 8 32
Direct
0.0315 0.9685 0.7500
0.9685 0.0315 0.2500
0.1461 0.8534 0.9684
0.1466 0.8539 0.5316
0.8534 0.1461 0.4684
0.8539 0.1466 0.0316
0.3120 0.6880 0.7500
0.6880 0.3120 0.2500
0.2362 0.7265 0.3544
0.2735 0.7638 0.1456
0.4112 0.5357 0.9079
0.4643 0.5888 0.5921
0.5357 0.4112 0.4079
0.5888 0.4643 0.0921
0.7265 0.2362 0.8544
0.7638 0.2735 0.6456
0.0235 0.7556 0.1673
0.0532 0.5756 0.4327
0.0568 0.4713 0.2859
0.1037 0.4144 0.1305
0.1703 0.5042 0.9591
0.2220 0.2633 0.5394
0.2220 0.3193 0.3998
0.2444 0.9765 0.3327
0.2633 0.2220 0.0394
0.3193 0.2220 0.8998
0.3227 0.5049 0.6717
0.4144 0.1037 0.6305
0.4244 0.9468 0.0673
0.4713 0.0568 0.7859
0.4951 0.6773 0.8283
0.4958 0.8297 0.5409
0.5042 0.1703 0.4591
0.5049 0.3227 0.1717
0.5287 0.9432 0.2141
0.5756 0.0532 0.9327
0.5856 0.8963 0.3695
0.6773 0.4951 0.3283
0.6807 0.7780 0.1002
0.7367 0.7780 0.9606
0.7556 0.0235 0.6673
0.7780 0.6807 0.6002
0.7780 0.7367 0.4606
0.8297 0.4958 0.0409
0.8963 0.5856 0.8695
0.9432 0.5287 0.7141
0.9468 0.4244 0.5673
0.9765 0.2444 0.8327
```